Calculated X-ray powder pattern
Compound: K2H6IrO6
Radiation: λ = 1.5418 Å (Cu Kα)
Structure: a GGA-PBE-relaxed structure

Principal peaks in the range 10° ≤ 2θ ≤ 80°, by angle:
two_theta, d/Å, I/Imax
17.6, 5.049, 100
21.6, 4.115, 66
27.9, 3.196, 54
33.2, 2.696, 44
35.6, 2.523, 70
43.9, 2.060, 39
52.9, 1.730, 32
54.5, 1.683, 18
62.3, 1.489, 15
69.8, 1.347, 15

Crystal structure
a = 5.5230 Å, b = 5.5230 Å, c = 5.5230 Å
α = 70.71°, β = 70.71°, γ = 70.71°
Element x y z (fractional)
K (0.2104, 0.2104, 0.2104)
K (0.7896, 0.7896, 0.7896)
H (0.1244, 0.2715, 0.6880)
H (0.2715, 0.6880, 0.1244)
H (0.3120, 0.8756, 0.7285)
H (0.6880, 0.1244, 0.2715)
H (0.7285, 0.3120, 0.8756)
H (0.8756, 0.7285, 0.3120)
Ir (0.5000, 0.5000, 0.5000)
O (0.2024, 0.6939, 0.3141)
O (0.3061, 0.6859, 0.7976)
O (0.3141, 0.2024, 0.6939)
O (0.6859, 0.7976, 0.3061)
O (0.6939, 0.3141, 0.2024)
O (0.7976, 0.3061, 0.6859)


Calculated X-ray powder pattern
Compound: Mg2H5Ir
Radiation: λ = 1.5418 Å (Cu Kα)
Structure: a GGA-PBE-relaxed structure

Principal peaks in the range 10° ≤ 2θ ≤ 80°, by angle:
two_theta, d/Å, I/Imax
23.5, 3.791, 100
25.8, 3.453, 11
27.8, 3.207, 18
38.3, 2.350, 46
39.7, 2.268, 20
44.1, 2.053, 19
46.7, 1.946, 33
60.9, 1.521, 19
68.3, 1.374, 8
71.2, 1.325, 15

Crystal structure
a = 4.5355 Å, b = 4.5355 Å, c = 6.9053 Å
α = 90.00°, β = 90.00°, γ = 90.00°
Element x y z (fractional)
Mg (0.2500, 0.7500, 0.0000)
Mg (0.2500, 0.7500, 0.5000)
Mg (0.7500, 0.2500, 0.0000)
Mg (0.7500, 0.2500, 0.5000)
H (0.0095, 0.0095, 0.2363)
H (0.0095, 0.4905, 0.2363)
H (0.2500, 0.2500, 0.4965)
H (0.4905, 0.0095, 0.2363)
H (0.4905, 0.4905, 0.2363)
H (0.5095, 0.5095, 0.7637)
H (0.5095, 0.9905, 0.7637)
H (0.7500, 0.7500, 0.5035)
H (0.9905, 0.5095, 0.7637)
H (0.9905, 0.9905, 0.7637)
Ir (0.2500, 0.2500, 0.7427)
Ir (0.7500, 0.7500, 0.2573)


Calculated X-ray powder pattern
Compound: Na3H6Ir
Radiation: λ = 1.5418 Å (Cu Kα)
Structure: a GGA-PBE-relaxed structure

Principal peaks in the range 10° ≤ 2θ ≤ 80°, by angle:
two_theta, d/Å, I/Imax
19.5, 4.546, 58
19.8, 4.488, 43
21.3, 4.175, 81
22.1, 4.025, 100
33.6, 2.671, 55
35.1, 2.554, 29
35.8, 2.512, 47
39.1, 2.303, 40
41.4, 2.179, 28
52.9, 1.731, 36

Crystal structure
a = 9.0915 Å, b = 5.1086 Å, c = 9.3990 Å
α = 90.00°, β = 90.00°, γ = 90.00°
Element x y z (fractional)
Na (0.0479, 0.2500, 0.1265)
Na (0.1056, 0.7500, 0.5356)
Na (0.2156, 0.2500, 0.7507)
Na (0.2844, 0.7500, 0.2507)
Na (0.3944, 0.2500, 0.0356)
Na (0.4521, 0.7500, 0.6265)
Na (0.5479, 0.2500, 0.3735)
Na (0.6056, 0.7500, 0.9644)
Na (0.7156, 0.2500, 0.7493)
Na (0.7844, 0.7500, 0.2493)
Na (0.8944, 0.2500, 0.4644)
Na (0.9521, 0.7500, 0.8735)
H (0.1066, 0.0244, 0.3363)
H (0.1066, 0.4756, 0.3363)
H (0.1193, 0.2500, 0.5496)
H (0.1655, 0.5169, 0.9702)
H (0.1655, 0.9831, 0.9702)
H (0.1791, 0.7500, 0.7524)
H (0.3209, 0.2500, 0.2524)
H (0.3345, 0.0169, 0.4702)
H (0.3345, 0.4831, 0.4702)
H (0.3807, 0.7500, 0.0496)
H (0.3934, 0.5244, 0.8363)
H (0.3934, 0.9756, 0.8363)
H (0.6066, 0.0244, 0.1637)
H (0.6066, 0.4756, 0.1637)
H (0.6193, 0.2500, 0.9504)
H (0.6655, 0.5169, 0.5298)
H (0.6655, 0.9831, 0.5298)
H (0.6791, 0.7500, 0.7476)
H (0.8209, 0.2500, 0.2476)
H (0.8345, 0.0169, 0.0298)
H (0.8345, 0.4831, 0.0298)
H (0.8807, 0.7500, 0.4504)
H (0.8934, 0.5244, 0.6637)
H (0.8934, 0.9756, 0.6637)
Ir (0.2225, 0.2500, 0.4029)
Ir (0.2775, 0.7500, 0.9029)
Ir (0.7225, 0.2500, 0.0971)
Ir (0.7775, 0.7500, 0.5971)


Calculated X-ray powder pattern
Compound: PmH6Ir
Radiation: λ = 1.5418 Å (Cu Kα)
Structure: a GGA-PBE-relaxed structure

Principal peaks in the range 10° ≤ 2θ ≤ 80°, by angle:
two_theta, d/Å, I/Imax
28.1, 3.177, 100
33.7, 2.656, 62
44.5, 2.038, 29
49.7, 1.834, 21
53.4, 1.716, 23
53.5, 1.714, 12
58.1, 1.588, 13
63.6, 1.462, 10
68.9, 1.363, 16
79.9, 1.201, 11

Crystal structure
a = 4.1896 Å, b = 4.1896 Å, c = 4.1870 Å
α = 98.70°, β = 98.70°, γ = 98.56°
Element x y z (fractional)
Pm (0.0000, 0.0000, 0.0000)
H (0.2098, 0.5725, 0.2101)
H (0.2108, 0.2108, 0.5733)
H (0.4275, 0.7902, 0.7899)
H (0.5725, 0.2098, 0.2101)
H (0.7892, 0.7892, 0.4267)
H (0.7902, 0.4275, 0.7899)
Ir (0.5000, 0.5000, 0.5000)


Calculated X-ray powder pattern
Compound: PuH6Ir
Radiation: λ = 1.5418 Å (Cu Kα)
Structure: a GGA-PBE-relaxed structure

Principal peaks in the range 10° ≤ 2θ ≤ 80°, by angle:
two_theta, d/Å, I/Imax
27.8, 3.212, 100
38.9, 2.313, 42
40.4, 2.232, 38
47.2, 1.925, 8
49.7, 1.833, 21
57.4, 1.606, 14
63.9, 1.457, 20
66.0, 1.416, 18
69.5, 1.352, 8
72.5, 1.304, 14

Crystal structure
a = 4.6321 Å, b = 4.6321 Å, c = 4.6321 Å
α = 57.60°, β = 57.60°, γ = 57.60°
Element x y z (fractional)
Pu (0.0000, 0.0000, 0.0000)
H (0.0584, 0.6012, 0.6012)
H (0.3988, 0.3988, 0.9416)
H (0.3988, 0.9416, 0.3988)
H (0.6012, 0.0584, 0.6012)
H (0.6012, 0.6012, 0.0584)
H (0.9416, 0.3988, 0.3988)
Ir (0.5000, 0.5000, 0.5000)


Calculated X-ray powder pattern
Compound: Rb3H6Ir
Radiation: λ = 1.5418 Å (Cu Kα)
Structure: a GGA-PBE-relaxed structure

Principal peaks in the range 10° ≤ 2θ ≤ 80°, by angle:
two_theta, d/Å, I/Imax
17.8, 4.978, 12
20.6, 4.311, 7
29.3, 3.049, 100
34.5, 2.600, 7
41.9, 2.156, 19
47.1, 1.928, 3
52.0, 1.760, 40
60.8, 1.524, 13
68.9, 1.363, 17
76.5, 1.245, 4

Crystal structure
a = 6.0970 Å, b = 6.0970 Å, c = 6.0970 Å
α = 60.00°, β = 60.00°, γ = 60.00°
Element x y z (fractional)
Rb (0.0000, 0.0000, 0.0000)
Rb (0.2500, 0.2500, 0.2500)
Rb (0.7500, 0.7500, 0.7500)
H (0.3043, 0.3043, 0.6957)
H (0.3043, 0.6957, 0.3043)
H (0.3043, 0.6957, 0.6957)
H (0.6957, 0.3043, 0.3043)
H (0.6957, 0.3043, 0.6957)
H (0.6957, 0.6957, 0.3043)
Ir (0.5000, 0.5000, 0.5000)


Calculated X-ray powder pattern
Compound: KNaReH9
Radiation: λ = 1.5418 Å (Cu Kα)
Structure: a GGA-PBE-relaxed structure

Principal peaks in the range 10° ≤ 2θ ≤ 80°, by angle:
two_theta, d/Å, I/Imax
19.1, 4.637, 40
20.1, 4.424, 39
20.8, 4.274, 92
21.6, 4.107, 100
27.9, 3.201, 80
32.3, 2.769, 40
34.0, 2.634, 30
35.6, 2.524, 32
38.4, 2.347, 32
40.2, 2.243, 32

Crystal structure
a = 8.8488 Å, b = 5.2688 Å, c = 9.7618 Å
α = 90.00°, β = 90.00°, γ = 90.00°
Element x y z (fractional)
K (0.0233, 0.2500, 0.1771)
K (0.4767, 0.7500, 0.6771)
K (0.5233, 0.2500, 0.3229)
K (0.9767, 0.7500, 0.8229)
Na (0.1404, 0.2500, 0.5792)
Na (0.3596, 0.7500, 0.0792)
Na (0.6404, 0.2500, 0.9208)
Na (0.8596, 0.7500, 0.4208)
Re (0.2279, 0.7500, 0.3860)
Re (0.2721, 0.2500, 0.8860)
Re (0.7279, 0.7500, 0.1140)
Re (0.7721, 0.2500, 0.6140)
H (0.0846, 0.2500, 0.8567)
H (0.0925, 0.5209, 0.4024)
H (0.0925, 0.9791, 0.4024)
H (0.1100, 0.7500, 0.2512)
H (0.1628, 0.7500, 0.5493)
H (0.1827, 0.0180, 0.9786)
H (0.1827, 0.4820, 0.9786)
H (0.2268, 0.0181, 0.7711)
H (0.2268, 0.4819, 0.7711)
H (0.2732, 0.5181, 0.2711)
H (0.2732, 0.9819, 0.2711)
H (0.3173, 0.5180, 0.4786)
H (0.3173, 0.9820, 0.4786)
H (0.3372, 0.2500, 0.0493)
H (0.3900, 0.2500, 0.7512)
H (0.4075, 0.0209, 0.9024)
H (0.4075, 0.4791, 0.9024)
H (0.4154, 0.7500, 0.3567)
H (0.5846, 0.2500, 0.6433)
H (0.5925, 0.5209, 0.0976)
H (0.5925, 0.9791, 0.0976)
H (0.6100, 0.7500, 0.2488)
H (0.6628, 0.7500, 0.9507)
H (0.6827, 0.0180, 0.5214)
H (0.6827, 0.4820, 0.5214)
H (0.7268, 0.0181, 0.7289)
H (0.7268, 0.4819, 0.7289)
H (0.7732, 0.5181, 0.2289)
H (0.7732, 0.9819, 0.2289)
H (0.8173, 0.5180, 0.0214)
H (0.8173, 0.9820, 0.0214)
H (0.8372, 0.2500, 0.4507)
H (0.8900, 0.2500, 0.7488)
H (0.9075, 0.0209, 0.5976)
H (0.9075, 0.4791, 0.5976)
H (0.9154, 0.7500, 0.1433)


Calculated X-ray powder pattern
Compound: KSmP3HO10
Radiation: λ = 1.5418 Å (Cu Kα)
Structure: a GGA-PBE-relaxed structure

Principal peaks in the range 10° ≤ 2θ ≤ 80°, by angle:
two_theta, d/Å, I/Imax
11.3, 7.828, 100
12.2, 7.254, 16
14.2, 6.227, 24
24.5, 3.634, 17
26.9, 3.308, 29
28.4, 3.138, 40
28.7, 3.112, 42
29.1, 3.071, 17
29.7, 3.010, 24
30.5, 2.931, 22

Crystal structure
a = 6.9134 Å, b = 7.6013 Å, c = 8.4845 Å
α = 72.86°, β = 73.41°, γ = 82.45°
Element x y z (fractional)
K (0.2010, 0.2058, 0.0332)
K (0.7990, 0.7942, 0.9668)
Sm (0.2258, 0.1297, 0.5098)
Sm (0.7742, 0.8703, 0.4902)
P (0.1437, 0.5312, 0.6465)
P (0.3284, 0.7242, 0.8230)
P (0.3295, 0.8034, 0.3414)
P (0.6705, 0.1966, 0.6586)
P (0.6716, 0.2758, 0.1770)
P (0.8563, 0.4688, 0.3535)
H (0.3150, 0.6915, 0.0891)
H (0.6850, 0.3085, 0.9109)
O (0.0441, 0.3463, 0.3295)
O (0.1268, 0.3265, 0.6890)
O (0.1339, 0.9274, 0.3681)
O (0.1918, 0.8908, 0.7682)
O (0.2534, 0.6325, 0.0193)
O (0.2759, 0.5916, 0.4509)
O (0.2872, 0.5555, 0.7562)
O (0.4190, 0.7967, 0.1597)
O (0.4474, 0.2494, 0.2353)
O (0.4650, 0.8638, 0.4285)
O (0.5350, 0.1362, 0.5715)
O (0.5526, 0.7506, 0.7647)
O (0.5810, 0.2033, 0.8403)
O (0.7128, 0.4445, 0.2438)
O (0.7241, 0.4084, 0.5491)
O (0.7466, 0.3675, 0.9807)
O (0.8082, 0.1092, 0.2318)
O (0.8661, 0.0726, 0.6319)
O (0.8732, 0.6735, 0.3110)
O (0.9559, 0.6537, 0.6705)


Calculated X-ray powder pattern
Compound: K2ZnP4H8O15
Radiation: λ = 1.5418 Å (Cu Kα)
Structure: a GGA-PBE-relaxed structure

Principal peaks in the range 10° ≤ 2θ ≤ 80°, by angle:
two_theta, d/Å, I/Imax
12.5, 7.072, 76
20.3, 4.382, 27
21.2, 4.194, 24
22.0, 4.033, 24
25.2, 3.536, 25
29.8, 2.993, 43
30.0, 2.981, 31
31.5, 2.836, 40
33.4, 2.685, 100
38.2, 2.358, 24

Crystal structure
a = 7.4986 Å, b = 7.4986 Å, c = 6.1896 Å
α = 98.34°, β = 98.34°, γ = 105.96°
Element x y z (fractional)
K (0.2159, 0.2159, 0.0715)
K (0.7841, 0.7841, 0.9285)
Zn (0.0000, 0.0000, 0.5000)
P (0.2344, 0.7448, 0.3172)
P (0.2552, 0.7656, 0.6828)
P (0.7448, 0.2344, 0.3172)
P (0.7656, 0.2552, 0.6828)
H (0.0061, 0.5126, 0.7752)
H (0.2349, 0.3679, 0.6159)
H (0.3679, 0.2349, 0.6159)
H (0.4874, 0.9939, 0.2248)
H (0.5126, 0.0061, 0.7752)
H (0.6321, 0.7651, 0.3841)
H (0.7651, 0.6321, 0.3841)
H (0.9939, 0.4874, 0.2248)
O (0.1122, 0.8684, 0.2534)
O (0.1316, 0.8878, 0.7466)
O (0.1363, 0.5307, 0.2101)
O (0.1979, 0.5667, 0.7333)
O (0.2431, 0.2431, 0.5442)
O (0.4333, 0.8021, 0.2667)
O (0.4693, 0.8637, 0.7899)
O (0.5000, 0.5000, 0.0000)
O (0.5307, 0.1363, 0.2101)
O (0.5667, 0.1979, 0.7333)
O (0.7569, 0.7569, 0.4558)
O (0.8021, 0.4333, 0.2667)
O (0.8637, 0.4693, 0.7899)
O (0.8684, 0.1122, 0.2534)
O (0.8878, 0.1316, 0.7466)


Calculated X-ray powder pattern
Compound: KZnP2H5O9
Radiation: λ = 1.5418 Å (Cu Kα)
Structure: a GGA-PBE-relaxed structure

Principal peaks in the range 10° ≤ 2θ ≤ 80°, by angle:
two_theta, d/Å, I/Imax
12.7, 6.973, 42
15.4, 5.761, 65
16.4, 5.391, 54
26.1, 3.410, 33
27.4, 3.254, 34
27.8, 3.210, 100
28.2, 3.167, 44
28.5, 3.130, 33
31.6, 2.831, 37
36.7, 2.447, 41

Crystal structure
a = 7.4980 Å, b = 7.6554 Å, c = 7.7027 Å
α = 64.97°, β = 84.94°, γ = 72.82°
Element x y z (fractional)
K (0.1371, 0.2735, 0.2132)
K (0.8629, 0.7265, 0.7868)
Zn (0.2581, 0.7308, 0.0352)
Zn (0.7419, 0.2692, 0.9648)
P (0.0887, 0.1780, 0.7368)
P (0.3790, 0.5511, 0.7401)
P (0.6210, 0.4489, 0.2599)
P (0.9113, 0.8220, 0.2632)
H (0.1411, 0.7901, 0.4333)
H (0.2066, 0.4309, 0.5578)
H (0.4451, 0.8301, 0.2767)
H (0.4567, 0.0139, 0.7315)
H (0.4704, 0.8114, 0.5307)
H (0.5296, 0.1886, 0.4693)
H (0.5433, 0.9861, 0.2685)
H (0.5549, 0.1699, 0.7233)
H (0.7934, 0.5691, 0.4422)
H (0.8589, 0.2099, 0.5667)
O (0.0216, 0.6971, 0.1570)
O (0.0411, 0.9106, 0.3341)
O (0.1667, 0.3137, 0.5494)
O (0.2506, 0.0039, 0.8600)
O (0.2550, 0.5588, 0.9088)
O (0.2591, 0.5920, 0.5676)
O (0.4348, 0.9349, 0.3261)
O (0.4760, 0.6582, 0.1959)
O (0.4834, 0.7180, 0.6801)
O (0.5166, 0.2820, 0.3199)
O (0.5240, 0.3418, 0.8041)
O (0.5652, 0.0651, 0.6739)
O (0.7409, 0.4080, 0.4324)
O (0.7450, 0.4412, 0.0912)
O (0.7494, 0.9961, 0.1400)
O (0.8333, 0.6863, 0.4506)
O (0.9589, 0.0894, 0.6659)
O (0.9784, 0.3029, 0.8430)